[1]
TlTe: calculated PXRD pattern (Cu Kα X-rays), based on a cell relaxed with GGA-PBE.
No peak broadening, texture or thermal motion is included.

Top 12 peaks for 10 to 90 degrees two-theta, in order of falling intensity:
| d (Å) | 2θ/deg | I (rel.) |
| --- | --- | --- |
| 2.845 | 31.4 | 100 |
| 3.154 | 28.3 | 66 |
| 2.949 | 30.3 | 60 |
| 2.814 | 31.8 | 35 |
| 2.588 | 34.7 | 35 |
| 3.111 | 28.7 | 30 |
| 1.740 | 52.6 | 28 |
| 1.600 | 57.6 | 22 |
| 1.866 | 48.8 | 21 |
| 2.279 | 39.5 | 19 |
| 1.555 | 59.4 | 18 |
| 1.498 | 61.9 | 17 |

Cell: 9.8321 9.8321 9.8321 Å, 95.75 95.75 143.10°
Fractional coordinates of all 16 atoms:
Tl (0.0828, 0.7760, 0.8588)
Tl (0.2240, 0.0828, 0.3069)
Tl (0.2760, 0.5828, 0.8588)
Tl (0.4172, 0.2760, 0.6931)
Tl (0.5828, 0.7240, 0.3069)
Tl (0.7240, 0.4172, 0.1412)
Tl (0.7760, 0.9172, 0.6931)
Tl (0.9172, 0.2240, 0.1412)
Te (0.1620, 0.3380, 0.5000)
Te (0.2500, 0.2500, 0.0000)
Te (0.2500, 0.7500, 0.5000)
Te (0.3380, 0.8380, 0.1760)
Te (0.6620, 0.1620, 0.8240)
Te (0.7500, 0.2500, 0.5000)
Te (0.7500, 0.7500, 0.0000)
Te (0.8380, 0.6620, 0.5000)



[2]
BaMgTiF7: calculated PXRD pattern (Cu Kα X-rays), based on a cell relaxed with GGA-PBE.
No peak broadening, texture or thermal motion is included.

Top 12 peaks for 10 to 90 degrees two-theta, in order of falling intensity:
| d (Å) | 2θ/deg | I (rel.) |
| --- | --- | --- |
| 3.547 | 25.1 | 100 |
| 3.385 | 26.3 | 54 |
| 2.221 | 40.6 | 45 |
| 3.472 | 25.7 | 33 |
| 2.248 | 40.1 | 29 |
| 2.177 | 41.5 | 27 |
| 2.403 | 37.4 | 19 |
| 2.853 | 31.4 | 19 |
| 1.764 | 51.8 | 18 |
| 3.069 | 29.1 | 18 |
| 1.697 | 54.1 | 17 |
| 2.319 | 38.8 | 17 |

Cell: 5.7129 10.0174 9.6846 Å, 90.00 93.01 90.00°
Fractional coordinates of all 40 atoms:
Ba (0.2323, 0.1816, 0.0008)
Ba (0.2323, 0.3184, 0.5008)
Ba (0.7677, 0.6816, 0.4992)
Ba (0.7677, 0.8184, 0.9992)
Mg (0.1932, 0.6049, 0.8095)
Mg (0.1932, 0.8951, 0.3095)
Mg (0.8068, 0.1049, 0.6905)
Mg (0.8068, 0.3951, 0.1905)
Ti (0.3059, 0.6103, 0.1883)
Ti (0.3059, 0.8897, 0.6883)
Ti (0.6941, 0.1103, 0.3117)
Ti (0.6941, 0.3897, 0.8117)
F (0.0215, 0.7153, 0.2508)
F (0.0215, 0.7847, 0.7508)
F (0.1121, 0.5413, 0.6251)
F (0.1121, 0.9587, 0.1251)
F (0.1255, 0.0541, 0.6281)
F (0.1255, 0.4459, 0.1281)
F (0.2417, 0.6897, 0.0026)
F (0.2417, 0.8103, 0.5026)
F (0.3794, 0.0508, 0.3748)
F (0.3794, 0.4492, 0.8748)
F (0.3910, 0.5438, 0.3678)
F (0.3910, 0.9562, 0.8678)
F (0.4726, 0.7163, 0.7496)
F (0.4726, 0.7837, 0.2496)
F (0.5274, 0.2163, 0.7504)
F (0.5274, 0.2837, 0.2504)
F (0.6090, 0.0438, 0.1322)
F (0.6090, 0.4562, 0.6322)
F (0.6206, 0.5508, 0.1252)
F (0.6206, 0.9492, 0.6252)
F (0.7583, 0.1897, 0.4974)
F (0.7583, 0.3103, 0.9974)
F (0.8745, 0.5541, 0.8719)
F (0.8745, 0.9459, 0.3719)
F (0.8879, 0.0413, 0.8749)
F (0.8879, 0.4587, 0.3749)
F (0.9785, 0.2153, 0.2492)
F (0.9785, 0.2847, 0.7492)



[3]
Na3NbF6: calculated PXRD pattern (Cu Kα X-rays), based on a cell relaxed with GGA-PBE.
No peak broadening, texture or thermal motion is included.

Top 12 peaks for 10 to 90 degrees two-theta, in order of falling intensity:
| d (Å) | 2θ/deg | I (rel.) |
| --- | --- | --- |
| 3.032 | 29.5 | 100 |
| 4.287 | 20.7 | 94 |
| 2.144 | 42.2 | 88 |
| 4.951 | 17.9 | 80 |
| 1.516 | 61.1 | 50 |
| 1.750 | 52.3 | 40 |
| 2.585 | 34.7 | 37 |
| 1.917 | 47.4 | 36 |
| 1.146 | 84.6 | 19 |
| 1.356 | 69.3 | 17 |
| 1.429 | 65.3 | 16 |
| 1.650 | 55.7 | 15 |

Cell: 6.0633 6.0633 6.0633 Å, 60.00 60.00 60.00°
Fractional coordinates of all 10 atoms:
Na (0.0000, 0.0000, 0.0000)
Na (0.2500, 0.2500, 0.2500)
Na (0.7500, 0.7500, 0.7500)
Nb (0.5000, 0.5000, 0.5000)
F (0.2562, 0.2562, 0.7438)
F (0.2562, 0.7438, 0.2562)
F (0.2562, 0.7438, 0.7438)
F (0.7438, 0.2562, 0.2562)
F (0.7438, 0.2562, 0.7438)
F (0.7438, 0.7438, 0.2562)



[4]
CsSn2Cl5: calculated PXRD pattern (Cu Kα X-rays), based on a cell relaxed with GGA-PBE.
No peak broadening, texture or thermal motion is included.

Top 12 peaks for 10 to 90 degrees two-theta, in order of falling intensity:
| d (Å) | 2θ/deg | I (rel.) |
| --- | --- | --- |
| 3.000 | 29.8 | 100 |
| 3.637 | 24.5 | 92 |
| 2.605 | 34.4 | 66 |
| 2.373 | 37.9 | 57 |
| 7.755 | 11.4 | 50 |
| 4.657 | 19.1 | 47 |
| 2.912 | 30.7 | 37 |
| 1.863 | 48.9 | 36 |
| 3.228 | 27.6 | 28 |
| 3.878 | 22.9 | 28 |
| 1.680 | 54.6 | 28 |
| 1.555 | 59.4 | 26 |

Cell: 9.6988 9.6988 9.6988 Å, 129.75 129.75 73.81°
Fractional coordinates of all 16 atoms:
Cs (0.2500, 0.2500, 0.0000)
Cs (0.7500, 0.7500, 0.0000)
Sn (0.1818, 0.6818, 0.8637)
Sn (0.3182, 0.1818, 0.5000)
Sn (0.6818, 0.8182, 0.5000)
Sn (0.8182, 0.3182, 0.1363)
Cl (0.0000, 0.0000, 0.0000)
Cl (0.0430, 0.2136, 0.5000)
Cl (0.2136, 0.7136, 0.1706)
Cl (0.2864, 0.4570, 0.5000)
Cl (0.4570, 0.9570, 0.1706)
Cl (0.5000, 0.5000, 0.0000)
Cl (0.5430, 0.0430, 0.8294)
Cl (0.7136, 0.5430, 0.5000)
Cl (0.7864, 0.2864, 0.8294)
Cl (0.9570, 0.7864, 0.5000)



[5]
CsTmZnTe3: calculated PXRD pattern (Cu Kα X-rays), based on a cell relaxed with GGA-PBE.
No peak broadening, texture or thermal motion is included.

Top 12 peaks for 10 to 90 degrees two-theta, in order of falling intensity:
| d (Å) | 2θ/deg | I (rel.) |
| --- | --- | --- |
| 3.354 | 26.6 | 100 |
| 8.660 | 10.2 | 82 |
| 2.467 | 36.4 | 56 |
| 3.503 | 25.4 | 50 |
| 3.001 | 29.8 | 43 |
| 1.939 | 46.9 | 42 |
| 2.910 | 30.7 | 40 |
| 2.203 | 41.0 | 34 |
| 3.541 | 25.1 | 33 |
| 1.886 | 48.3 | 33 |
| 2.872 | 31.1 | 24 |
| 4.831 | 18.4 | 24 |

Cell: 8.9359 8.9359 11.6417 Å, 90.00 90.00 151.45°
Fractional coordinates of all 12 atoms:
Cs (0.2455, 0.7545, 0.7500)
Cs (0.7545, 0.2455, 0.2500)
Tm (0.5000, 0.5000, 0.0000)
Tm (0.5000, 0.5000, 0.5000)
Zn (0.0389, 0.9611, 0.2500)
Zn (0.9611, 0.0389, 0.7500)
Te (0.1180, 0.8820, 0.0550)
Te (0.1180, 0.8820, 0.4450)
Te (0.4428, 0.5572, 0.2500)
Te (0.5572, 0.4428, 0.7500)
Te (0.8820, 0.1180, 0.5550)
Te (0.8820, 0.1180, 0.9450)



[6]
Cu3BiSe2IO8: calculated PXRD pattern (Cu Kα X-rays), based on a cell relaxed with GGA-PBE.
No peak broadening, texture or thermal motion is included.

Top 12 peaks for 10 to 90 degrees two-theta, in order of falling intensity:
| d (Å) | 2θ/deg | I (rel.) |
| --- | --- | --- |
| 3.463 | 25.7 | 100 |
| 2.967 | 30.1 | 69 |
| 3.231 | 27.6 | 61 |
| 2.701 | 33.2 | 44 |
| 2.539 | 35.4 | 39 |
| 1.731 | 52.9 | 34 |
| 2.216 | 40.7 | 22 |
| 5.401 | 16.4 | 21 |
| 2.441 | 36.8 | 21 |
| 2.456 | 36.6 | 19 |
| 7.448 | 11.9 | 18 |
| 2.921 | 30.6 | 18 |

Cell: 6.4666 9.8236 7.4480 Å, 90.00 90.00 90.00°
Fractional coordinates of all 30 atoms:
Cu (0.0000, 0.0000, 0.0000)
Cu (0.0000, 0.5000, 0.0000)
Cu (0.2500, 0.2500, 0.2048)
Cu (0.5000, 0.0000, 0.0000)
Cu (0.5000, 0.5000, 0.0000)
Cu (0.7500, 0.7500, 0.7952)
Bi (0.2500, 0.2500, 0.7587)
Bi (0.7500, 0.7500, 0.2413)
Se (0.2500, 0.5567, 0.3846)
Se (0.2500, 0.9433, 0.3846)
Se (0.7500, 0.0567, 0.6154)
Se (0.7500, 0.4433, 0.6154)
I (0.2500, 0.7500, 0.8292)
I (0.7500, 0.2500, 0.1708)
O (0.0394, 0.5851, 0.2409)
O (0.0394, 0.9149, 0.2409)
O (0.2500, 0.1143, 0.0082)
O (0.2500, 0.1173, 0.4069)
O (0.2500, 0.3827, 0.4069)
O (0.2500, 0.3857, 0.0082)
O (0.4606, 0.5851, 0.2409)
O (0.4606, 0.9149, 0.2409)
O (0.5394, 0.0851, 0.7591)
O (0.5394, 0.4149, 0.7591)
O (0.7500, 0.6143, 0.9918)
O (0.7500, 0.6173, 0.5931)
O (0.7500, 0.8827, 0.5931)
O (0.7500, 0.8857, 0.9918)
O (0.9606, 0.0851, 0.7591)
O (0.9606, 0.4149, 0.7591)



[7]
NdZr3Mn8: calculated PXRD pattern (Cu Kα X-rays), based on a cell relaxed with GGA-PBE.
No peak broadening, texture or thermal motion is included.

Top 12 peaks for 10 to 90 degrees two-theta, in order of falling intensity:
| d (Å) | 2θ/deg | I (rel.) |
| --- | --- | --- |
| 2.168 | 41.7 | 100 |
| 2.341 | 38.4 | 91 |
| 2.074 | 43.6 | 59 |
| 2.532 | 35.4 | 53 |
| 2.367 | 38.0 | 47 |
| 2.111 | 42.8 | 46 |
| 2.147 | 42.1 | 35 |
| 1.321 | 71.4 | 26 |
| 2.443 | 36.8 | 24 |
| 1.266 | 75.0 | 22 |
| 1.351 | 69.6 | 20 |
| 1.434 | 65.1 | 18 |

Cell: 5.0693 5.0693 8.3906 Å, 90.08 90.08 57.61°
Fractional coordinates of all 12 atoms:
Nd (0.0000, 0.0000, 0.0000)
Zr (0.0016, 0.0016, 0.6207)
Zr (0.3319, 0.3319, 0.1312)
Zr (0.3320, 0.3320, 0.4975)
Mn (0.0032, 0.4931, 0.8003)
Mn (0.3334, 0.8370, 0.3207)
Mn (0.4931, 0.0032, 0.8003)
Mn (0.4946, 0.4946, 0.8012)
Mn (0.6674, 0.6674, 0.5595)
Mn (0.6685, 0.6685, 0.0637)
Mn (0.8370, 0.3334, 0.3207)
Mn (0.8368, 0.8368, 0.3187)



[8]
Eu2Zn3Ge: calculated PXRD pattern (Cu Kα X-rays), based on a cell relaxed with GGA-PBE.
No peak broadening, texture or thermal motion is included.

Top 12 peaks for 10 to 90 degrees two-theta, in order of falling intensity:
| d (Å) | 2θ/deg | I (rel.) |
| --- | --- | --- |
| 2.739 | 32.7 | 100 |
| 2.278 | 39.6 | 35 |
| 1.755 | 52.1 | 18 |
| 2.287 | 39.4 | 18 |
| 1.459 | 63.8 | 16 |
| 3.951 | 22.5 | 16 |
| 1.900 | 47.9 | 10 |
| 1.749 | 52.3 | 9 |
| 1.387 | 67.5 | 8 |
| 1.461 | 63.7 | 8 |
| 1.393 | 67.2 | 8 |
| 1.389 | 67.4 | 8 |

Cell: 9.1125 8.7496 5.9464 Å, 73.89 67.29 38.82°
Fractional coordinates of all 12 atoms:
Eu (0.2415, 0.7585, 0.7585)
Eu (0.2500, 0.2500, 0.2500)
Eu (0.7500, 0.7500, 0.7500)
Eu (0.7585, 0.2415, 0.2415)
Zn (0.1674, 0.1674, 0.8326)
Zn (0.1696, 0.6640, 0.3360)
Zn (0.3360, 0.8304, 0.1696)
Zn (0.6640, 0.1696, 0.8304)
Zn (0.8304, 0.3360, 0.6640)
Zn (0.8326, 0.8326, 0.1674)
Ge (0.3356, 0.3356, 0.6644)
Ge (0.6644, 0.6644, 0.3356)



[9]
Y2Co17: calculated PXRD pattern (Cu Kα X-rays), based on a cell relaxed with GGA-PBE.
No peak broadening, texture or thermal motion is included.

Top 12 peaks for 10 to 90 degrees two-theta, in order of falling intensity:
| d (Å) | 2θ/deg | I (rel.) |
| --- | --- | --- |
| 2.065 | 43.8 | 100 |
| 2.079 | 43.5 | 69 |
| 1.850 | 49.3 | 54 |
| 2.026 | 44.7 | 51 |
| 2.401 | 37.5 | 35 |
| 2.322 | 38.8 | 33 |
| 1.451 | 64.2 | 23 |
| 2.015 | 45.0 | 20 |
| 1.465 | 63.5 | 19 |
| 2.902 | 30.8 | 18 |
| 1.201 | 79.9 | 18 |
| 1.177 | 81.9 | 17 |

Cell: 6.2822 6.2822 6.2822 Å, 82.90 82.90 82.90°
Fractional coordinates of all 19 atoms:
Y (0.1558, 0.1558, 0.1558)
Y (0.8442, 0.8442, 0.8442)
Co (0.0000, 0.5000, 0.5000)
Co (0.1545, 0.1545, 0.6500)
Co (0.1545, 0.6500, 0.1545)
Co (0.2118, 0.5000, 0.7882)
Co (0.2118, 0.7882, 0.5000)
Co (0.3500, 0.8455, 0.8455)
Co (0.4035, 0.4035, 0.4035)
Co (0.5000, 0.0000, 0.5000)
Co (0.5000, 0.2118, 0.7882)
Co (0.5000, 0.5000, 0.0000)
Co (0.5000, 0.7882, 0.2118)
Co (0.5965, 0.5965, 0.5965)
Co (0.6500, 0.1545, 0.1545)
Co (0.7882, 0.2118, 0.5000)
Co (0.7882, 0.5000, 0.2118)
Co (0.8455, 0.3500, 0.8455)
Co (0.8455, 0.8455, 0.3500)